Entry 1:
Starting from DFT lattice parameters and positions (PBE), the PXRD pattern of Na2CdTePb was simulated for Cu Kα X-rays.

Structure:
```
Na2CdTePb
1.0
5.6435 0.0000 0.0000
0.0000 5.6435 0.0000
0.0000 0.0000 6.4457
Na Cd Te Pb
2 1 1 1
direct
0.0000 0.5000 0.0000
0.5000 0.0000 0.0000
0.0000 0.0000 0.5000
0.5000 0.5000 0.0000
0.5000 0.5000 0.5000
```

Main lines, by angle (2θ from 10° to 90°):
| 2θ/deg | d_spacing | Rel. int. |
| --- | --- | --- |
| 15.7 | 5.644 | 64 |
| 22.3 | 3.991 | 100 |
| 26.3 | 3.393 | 52 |
| 27.7 | 3.223 | 46 |
| 31.7 | 2.822 | 65 |
| 35.8 | 2.507 | 60 |
| 42.6 | 2.123 | 58 |
| 45.5 | 1.995 | 24 |
| 54.1 | 1.696 | 28 |
| 59.2 | 1.561 | 28 |

***

Entry 2:
Starting from DFT lattice parameters and positions (PBE), the PXRD pattern of PbI2 was simulated for Cu Kα X-rays.

Structure:
```
PbI2
1.0
4.6555 0.0000 0.0000
-2.3277 4.0318 0.0000
0.0000 0.0000 29.9687
Pb I
4 8
direct
0.3333 0.6667 0.0000
0.3333 0.6667 0.2498
0.6667 0.3333 0.5000
0.6667 0.3333 0.7498
0.0000 0.0000 0.0624
0.0000 0.0000 0.3121
0.0000 0.0000 0.5624
0.0000 0.0000 0.8121
0.3333 0.6667 0.4376
0.3333 0.6667 0.6874
0.6667 0.3333 0.1874
0.6667 0.3333 0.9376
```

Main lines, by angle (2θ from 10° to 90°):
| 2θ/deg | d_spacing | Rel. int. |
| --- | --- | --- |
| 11.8 | 7.492 | 81 |
| 23.8 | 3.739 | 35 |
| 25.1 | 3.550 | 100 |
| 26.6 | 3.345 | 54 |
| 30.5 | 2.935 | 52 |
| 32.6 | 2.744 | 30 |
| 34.9 | 2.567 | 37 |
| 38.7 | 2.328 | 72 |
| 40.6 | 2.223 | 26 |
| 63.8 | 1.459 | 33 |

***

Entry 3:
Starting from DFT lattice parameters and positions (PBE), the PXRD pattern of BaP2Pd2O7 was simulated for Cu Kα X-rays.

Structure:
```
BaP2Pd2O7
1.0
2.6953 1.5561 7.5149
-2.6953 1.5561 7.5149
0.0000 -3.1123 7.5149
Ba P Pd O
1 2 2 7
direct
0.0000 0.0000 0.0000
0.4293 0.4293 0.4293
0.5707 0.5707 0.5707
0.1964 0.1964 0.1964
0.8036 0.8036 0.8036
0.1211 0.4448 0.6651
0.3349 0.5552 0.8789
0.4448 0.6651 0.1211
0.5000 0.5000 0.5000
0.5552 0.8789 0.3349
0.6651 0.1211 0.4448
0.8789 0.3349 0.5552
```

Main lines, by angle (2θ from 10° to 90°):
| 2θ/deg | d_spacing | Rel. int. |
| --- | --- | --- |
| 19.4 | 4.571 | 14 |
| 24.8 | 3.595 | 26 |
| 27.5 | 3.243 | 100 |
| 33.2 | 2.695 | 60 |
| 41.2 | 2.190 | 24 |
| 43.7 | 2.073 | 20 |
| 44.6 | 2.030 | 21 |
| 56.0 | 1.643 | 22 |
| 59.4 | 1.556 | 15 |
| 69.8 | 1.348 | 11 |

***

Entry 4:
Starting from DFT lattice parameters and positions (PBE), the PXRD pattern of Tl2PbSe2O6 was simulated for Cu Kα X-rays.

Structure:
```
Tl2PbSe2O6
1.0
3.1768 1.8341 8.2738
-3.1768 1.8341 8.2738
0.0000 -3.6683 8.2738
Tl Pb Se O
2 1 2 6
direct
0.2179 0.2179 0.2179
0.7821 0.7821 0.7821
0.5000 0.5000 0.5000
0.0815 0.0815 0.0815
0.9185 0.9185 0.9185
0.1706 0.7467 0.7467
0.2533 0.2533 0.8294
0.2533 0.8294 0.2533
0.7467 0.1706 0.7467
0.7467 0.7467 0.1706
0.8294 0.2533 0.2533
```

Main lines, by angle (2θ from 10° to 90°):
| 2θ/deg | d_spacing | Rel. int. |
| --- | --- | --- |
| 10.7 | 8.274 | 100 |
| 21.6 | 4.117 | 35 |
| 28.1 | 3.177 | 78 |
| 30.0 | 2.981 | 62 |
| 30.1 | 2.966 | 41 |
| 35.7 | 2.515 | 18 |
| 41.5 | 2.174 | 34 |
| 49.7 | 1.834 | 16 |
| 50.9 | 1.793 | 38 |
| 66.7 | 1.402 | 14 |

***

Entry 5:
Starting from DFT lattice parameters and positions (PBE), the PXRD pattern of La6Nd2Sm was simulated for Cu Kα X-rays.

Structure:
```
La6Nd2Sm
1.0
4.8155 -9.1177 0.0000
4.8155 9.1177 0.0000
0.0000 0.0000 3.7018
La Nd Sm
6 2 1
direct
0.0078 0.3356 0.0000
0.1771 0.1771 0.5000
0.3356 0.0078 0.0000
0.6644 0.9922 0.0000
0.8229 0.8229 0.5000
0.9922 0.6644 0.0000
0.3245 0.6755 0.5000
0.6755 0.3245 0.5000
0.5000 0.5000 0.0000
```

Main lines, by angle (2θ from 10° to 90°):
| 2θ/deg | d_spacing | Rel. int. |
| --- | --- | --- |
| 28.2 | 3.162 | 59 |
| 29.4 | 3.039 | 60 |
| 29.7 | 3.004 | 100 |
| 32.0 | 2.794 | 49 |
| 36.4 | 2.468 | 29 |
| 37.3 | 2.410 | 31 |
| 52.3 | 1.748 | 19 |
| 55.9 | 1.645 | 25 |
| 57.7 | 1.597 | 16 |
| 58.4 | 1.581 | 17 |

***

Entry 6:
Starting from DFT lattice parameters and positions (PBE), the PXRD pattern of LiTlO2 was simulated for Cu Kα X-rays.

Structure:
```
LiTlO2
1.0
3.5958 -5.4380 0.0000
3.5958 5.4380 0.0000
-0.7653 0.0000 10.8768
Li Tl O
8 8 16
direct
0.0201 0.2048 0.1461
0.1845 0.5318 0.6398
0.2048 0.0201 0.6461
0.4682 0.8155 0.8602
0.5318 0.1845 0.1398
0.7952 0.9799 0.3539
0.8155 0.4682 0.3602
0.9799 0.7952 0.8539
0.0412 0.3283 0.8768
0.3283 0.0412 0.3768
0.3587 0.5595 0.3886
0.4405 0.6413 0.1114
0.5595 0.3587 0.8886
0.6413 0.4405 0.6114
0.6717 0.9588 0.6232
0.9588 0.6717 0.1232
0.0309 0.9691 0.2500
0.0662 0.4743 0.2562
0.2125 0.7107 0.9736
0.2742 0.2773 0.0173
0.2773 0.2742 0.5173
0.2893 0.7875 0.5264
0.4464 0.5536 0.7500
0.4743 0.0662 0.7562
0.5257 0.9338 0.2438
0.5536 0.4464 0.2500
0.7107 0.2125 0.4736
0.7227 0.7258 0.4827
0.7258 0.7227 0.9827
0.7875 0.2893 0.0264
0.9338 0.5257 0.7438
0.9691 0.0309 0.7500
```

Main lines, by angle (2θ from 10° to 90°):
| 2θ/deg | d_spacing | Rel. int. |
| --- | --- | --- |
| 14.8 | 5.988 | 40 |
| 16.5 | 5.381 | 100 |
| 21.4 | 4.149 | 45 |
| 29.5 | 3.024 | 29 |
| 31.4 | 2.845 | 74 |
| 31.7 | 2.820 | 19 |
| 32.9 | 2.719 | 51 |
| 37.8 | 2.378 | 77 |
| 47.3 | 1.923 | 26 |
| 53.5 | 1.713 | 27 |

***

Entry 7:
Starting from DFT lattice parameters and positions (PBE), the PXRD pattern of Dy3SeI7 was simulated for Cu Kα X-rays.

Structure:
```
Dy3SeI7
1.0
8.6775 0.0000 0.0000
-4.3387 7.5149 0.0000
0.0000 0.0000 7.6891
Dy Se I
3 1 7
direct
0.1752 0.3505 0.0000
0.1752 0.8248 0.0000
0.6495 0.8248 0.0000
0.3333 0.6667 0.1864
0.0000 0.0000 0.7628
0.0035 0.5017 0.7606
0.3274 0.1637 0.2177
0.4983 0.5017 0.7606
0.4983 0.9965 0.7606
0.8363 0.1637 0.2177
0.8363 0.6726 0.2177
```

Main lines, by angle (2θ from 10° to 90°):
| 2θ/deg | d_spacing | Rel. int. |
| --- | --- | --- |
| 11.5 | 7.689 | 52 |
| 26.4 | 3.376 | 100 |
| 33.3 | 2.687 | 60 |
| 41.6 | 2.169 | 35 |
| 42.7 | 2.117 | 32 |
| 50.0 | 1.825 | 17 |
| 54.4 | 1.688 | 14 |
| 64.8 | 1.439 | 14 |
| 67.0 | 1.397 | 14 |
| 70.7 | 1.332 | 13 |

***

Entry 8:
Starting from DFT lattice parameters and positions (PBE), the PXRD pattern of KNa2InGa was simulated for Cu Kα X-rays.

Structure:
```
KNa2InGa
1.0
5.8713 0.0000 0.0000
0.0000 5.8713 0.0000
0.0000 0.0000 5.2672
K Na In Ga
1 2 1 1
direct
0.0000 0.0000 0.0000
0.0000 0.5000 0.5000
0.5000 0.0000 0.5000
0.5000 0.5000 0.0000
0.5000 0.5000 0.5000
```

Main lines, by angle (2θ from 10° to 90°):
| 2θ/deg | d_spacing | Rel. int. |
| --- | --- | --- |
| 15.1 | 5.871 | 100 |
| 21.4 | 4.152 | 69 |
| 27.4 | 3.261 | 41 |
| 30.4 | 2.936 | 67 |
| 34.0 | 2.634 | 25 |
| 34.1 | 2.626 | 28 |
| 40.6 | 2.224 | 26 |
| 46.3 | 1.960 | 46 |
| 49.0 | 1.858 | 35 |
| 56.5 | 1.630 | 28 |